[1]
Fe4O7F: theoretical powder X-ray diffraction pattern (Cu Kα (weighted mean of Kα1 and Kα2)), based on DFT lattice parameters and positions (GGA+U).

Atomic structure:
abc: 7.146 7.146 5.497
angles: 107.98 107.98 79.78
Fractional coordinates of all 24 atoms:
Fe 0.119 0.367 0.521
Fe 0.119 0.881 0.500
Fe 0.367 0.119 0.021
Fe 0.380 0.620 0.044
Fe 0.620 0.380 0.544
Fe 0.625 0.871 0.526
Fe 0.871 0.625 0.026
Fe 0.881 0.119 0.000
O 0.041 0.103 0.346
O 0.103 0.041 0.846
O 0.141 0.697 0.172
O 0.297 0.356 0.871
O 0.356 0.297 0.371
O 0.394 0.948 0.672
O 0.450 0.891 0.184
O 0.553 0.603 0.386
O 0.603 0.553 0.886
O 0.697 0.141 0.672
O 0.797 0.854 0.869
O 0.854 0.797 0.369
O 0.891 0.450 0.684
O 0.948 0.394 0.172
F 0.201 0.646 0.674
F 0.646 0.201 0.174

Principal peaks in the range 2θ = 10–90°, low angle first:
2θ = 27.5°, I 100; 2θ = 35.7°, I 53; 2θ = 41.0°, I 14; 2θ = 44.1°, I 5; 2θ = 54.0°, I 14; 2θ = 54.2°, I 44; 2θ = 56.7°, I 16; 2θ = 61.8°, I 8; 2θ = 68.9°, I 11; 2θ = 69.0°, I 16


[2]
Fe4OF7: theoretical powder X-ray diffraction pattern (Cu Kα (weighted mean of Kα1 and Kα2)), based on DFT lattice parameters and positions (GGA+U).

Atomic structure:
abc: 6.379 4.839 4.839
angles: 90.57 90.00 90.00
Fractional coordinates of all 12 atoms:
Fe 0.000 0.000 0.000
Fe 0.231 0.471 0.471
Fe 0.500 0.973 0.973
Fe 0.769 0.471 0.471
O 0.000 0.288 0.288
F 0.000 0.694 0.694
F 0.256 0.188 0.775
F 0.256 0.775 0.188
F 0.500 0.282 0.282
F 0.500 0.667 0.667
F 0.744 0.188 0.775
F 0.744 0.775 0.188

Principal peaks in the range 2θ = 10–90°, low angle first:
2θ = 25.9°, I 88; 2θ = 26.2°, I 91; 2θ = 33.7°, I 100; 2θ = 38.5°, I 20; 2θ = 38.7°, I 18; 2θ = 50.8°, I 57; 2θ = 51.1°, I 56; 2θ = 53.3°, I 20; 2θ = 57.8°, I 19; 2θ = 64.8°, I 40


[3]
Fe6OF11: theoretical powder X-ray diffraction pattern (Cu Kα (weighted mean of Kα1 and Kα2)), based on DFT lattice parameters and positions (GGA+U).

Atomic structure:
abc: 4.804 5.810 8.116
angles: 88.25 89.80 89.59
Fractional coordinates of all 18 atoms:
Fe 0.000 0.000 0.000
Fe 0.004 0.314 0.685
Fe 0.023 0.645 0.334
Fe 0.513 0.150 0.342
Fe 0.523 0.809 0.672
Fe 0.527 0.468 0.001
O 0.823 0.258 0.914
F 0.210 0.344 0.444
F 0.214 0.698 0.093
F 0.223 0.999 0.786
F 0.304 0.175 0.111
F 0.320 0.844 0.436
F 0.323 0.510 0.768
F 0.706 0.455 0.245
F 0.722 0.107 0.570
F 0.733 0.775 0.906
F 0.820 0.953 0.226
F 0.824 0.614 0.569

Principal peaks in the range 2θ = 10–90°, low angle first:
2θ = 26.2°, I 84; 2θ = 26.4°, I 86; 2θ = 33.1°, I 100; 2θ = 38.1°, I 19; 2θ = 50.7°, I 43; 2θ = 51.0°, I 56; 2θ = 53.8°, I 18; 2θ = 56.1°, I 19; 2θ = 64.8°, I 20; 2θ = 64.9°, I 20


[4]
Fe3OF9: theoretical powder X-ray diffraction pattern (Cu Kα (weighted mean of Kα1 and Kα2)), based on DFT lattice parameters and positions (GGA+U).

Atomic structure:
abc: 7.492 7.492 7.665
angles: 90.00 90.00 119.79
Fractional coordinates of all 26 atoms:
Fe 0.000 0.000 0.000
Fe 0.000 0.000 0.500
Fe 0.000 0.500 0.000
Fe 0.000 0.500 0.500
Fe 0.500 0.000 0.000
Fe 0.500 0.000 0.500
O 0.489 0.511 0.750
O 0.511 0.489 0.250
F 0.030 0.970 0.250
F 0.057 0.507 0.750
F 0.078 0.289 0.034
F 0.078 0.289 0.466
F 0.286 0.714 0.040
F 0.286 0.714 0.460
F 0.289 0.078 0.534
F 0.289 0.078 0.966
F 0.493 0.943 0.750
F 0.507 0.057 0.250
F 0.711 0.922 0.034
F 0.711 0.922 0.466
F 0.714 0.286 0.540
F 0.714 0.286 0.960
F 0.922 0.711 0.534
F 0.922 0.711 0.966
F 0.943 0.493 0.250
F 0.970 0.030 0.750

Principal peaks in the range 2θ = 10–90°, low angle first:
2θ = 13.6°, I 83; 2θ = 23.2°, I 57; 2θ = 23.7°, I 21; 2θ = 27.0°, I 28; 2θ = 27.5°, I 100; 2θ = 47.4°, I 18; 2θ = 48.4°, I 16; 2θ = 48.6°, I 20; 2θ = 55.7°, I 20; 2θ = 56.6°, I 16


[5]
Fe5O8F2: theoretical powder X-ray diffraction pattern (Cu Kα (weighted mean of Kα1 and Kα2)), based on DFT lattice parameters and positions (GGA+U).

Atomic structure:
abc: 4.650 4.650 15.032
angles: 90.17 90.17 89.77
Fractional coordinates of all 30 atoms:
Fe 0.000 0.000 0.000
Fe 0.007 0.041 0.598
Fe 0.467 0.533 0.100
Fe 0.467 0.533 0.900
Fe 0.484 0.516 0.500
Fe 0.485 0.514 0.704
Fe 0.486 0.515 0.296
Fe 0.959 0.993 0.402
Fe 0.989 0.011 0.206
Fe 0.989 0.011 0.794
O 0.168 0.805 0.306
O 0.168 0.829 0.898
O 0.171 0.832 0.102
O 0.175 0.825 0.500
O 0.195 0.832 0.694
O 0.288 0.326 0.000
O 0.290 0.326 0.802
O 0.293 0.324 0.199
O 0.306 0.338 0.600
O 0.662 0.694 0.400
O 0.674 0.710 0.198
O 0.674 0.712 0.000
O 0.676 0.707 0.801
O 0.777 0.200 0.306
O 0.792 0.208 0.500
O 0.800 0.223 0.694
F 0.277 0.306 0.397
F 0.694 0.723 0.603
F 0.782 0.215 0.901
F 0.785 0.218 0.099

Principal peaks in the range 2θ = 10–90°, low angle first:
2θ = 27.1°, I 96; 2θ = 27.2°, I 95; 2θ = 35.6°, I 100; 2θ = 38.7°, I 19; 2θ = 40.7°, I 21; 2θ = 53.4°, I 28; 2θ = 53.6°, I 84; 2θ = 68.0°, I 19; 2θ = 68.1°, I 19; 2θ = 68.7°, I 16


[6]
Fe10O11F9: theoretical powder X-ray diffraction pattern (Cu Kα (weighted mean of Kα1 and Kα2)), based on DFT lattice parameters and positions (GGA+U).

Atomic structure:
abc: 4.662 15.243 4.666
angles: 90.00 93.76 90.00
Fractional coordinates of all 30 atoms:
Fe 0.000 0.000 0.000
Fe 0.010 0.208 0.000
Fe 0.010 0.792 0.000
Fe 0.480 0.300 0.543
Fe 0.480 0.700 0.543
Fe 0.481 0.500 0.546
Fe 0.496 0.102 0.580
Fe 0.496 0.898 0.580
Fe 0.982 0.400 0.046
Fe 0.982 0.600 0.046
O 0.180 0.500 0.247
O 0.186 0.305 0.241
O 0.186 0.695 0.241
O 0.306 0.205 0.724
O 0.306 0.795 0.724
O 0.310 0.000 0.737
O 0.781 0.500 0.846
O 0.783 0.307 0.836
O 0.783 0.693 0.836
O 0.818 0.105 0.852
O 0.818 0.895 0.852
F 0.213 0.101 0.234
F 0.213 0.899 0.234
F 0.292 0.403 0.734
F 0.292 0.597 0.734
F 0.667 0.402 0.356
F 0.667 0.598 0.356
F 0.690 0.202 0.345
F 0.690 0.798 0.345
F 0.709 0.000 0.347

Principal peaks in the range 2θ = 10–90°, low angle first:
2θ = 26.2°, I 99; 2θ = 28.0°, I 89; 2θ = 35.2°, I 100; 2θ = 38.7°, I 16; 2θ = 39.7°, I 18; 2θ = 52.3°, I 61; 2θ = 53.9°, I 16; 2θ = 54.3°, I 49; 2θ = 60.8°, I 17; 2θ = 67.8°, I 37


[7]
Fe5O3F7: theoretical powder X-ray diffraction pattern (Cu Kα (weighted mean of Kα1 and Kα2)), based on DFT lattice parameters and positions (GGA+U).

Atomic structure:
abc: 15.645 4.797 4.798
angles: 90.00 90.00 90.00
Fractional coordinates of all 30 atoms:
Fe 0.000 0.210 0.000
Fe 0.095 0.743 0.523
Fe 0.208 0.288 0.059
Fe 0.292 0.712 0.559
Fe 0.405 0.257 0.023
Fe 0.500 0.790 0.500
Fe 0.595 0.257 0.023
Fe 0.708 0.712 0.559
Fe 0.792 0.288 0.059
Fe 0.905 0.743 0.523
O 0.000 0.921 0.711
O 0.199 0.557 0.353
O 0.301 0.443 0.853
O 0.500 0.079 0.211
O 0.699 0.443 0.853
O 0.801 0.557 0.353
F 0.000 0.516 0.312
F 0.107 0.442 0.840
F 0.109 0.051 0.226
F 0.201 0.953 0.749
F 0.299 0.047 0.249
F 0.391 0.949 0.726
F 0.393 0.558 0.340
F 0.500 0.484 0.812
F 0.607 0.558 0.340
F 0.609 0.949 0.726
F 0.701 0.047 0.249
F 0.799 0.953 0.749
F 0.891 0.051 0.226
F 0.893 0.442 0.840

Principal peaks in the range 2θ = 10–90°, low angle first:
2θ = 26.3°, I 100; 2θ = 34.2°, I 53; 2θ = 39.2°, I 20; 2θ = 51.7°, I 57; 2θ = 54.1°, I 17; 2θ = 59.0°, I 10; 2θ = 61.1°, I 8; 2θ = 65.6°, I 19; 2θ = 65.7°, I 11; 2θ = 84.2°, I 8


[8]
Fe4O7F: theoretical powder X-ray diffraction pattern (Cu Kα (weighted mean of Kα1 and Kα2)), based on DFT lattice parameters and positions (GGA+U).

Atomic structure:
abc: 5.469 9.221 5.510
angles: 90.00 114.13 90.00
Fractional coordinates of all 24 atoms:
Fe 0.000 0.118 0.000
Fe 0.000 0.882 0.500
Fe 0.012 0.369 0.499
Fe 0.012 0.631 0.999
Fe 0.510 0.120 0.517
Fe 0.510 0.880 0.017
Fe 0.523 0.382 0.981
Fe 0.523 0.618 0.481
O 0.160 0.028 0.347
O 0.160 0.972 0.847
O 0.169 0.470 0.837
O 0.169 0.530 0.337
O 0.358 0.278 0.647
O 0.358 0.722 0.147
O 0.662 0.026 0.864
O 0.662 0.974 0.364
O 0.671 0.464 0.334
O 0.671 0.536 0.834
O 0.853 0.217 0.662
O 0.853 0.783 0.162
O 0.859 0.274 0.150
O 0.859 0.726 0.650
F 0.353 0.218 0.145
F 0.353 0.782 0.645

Principal peaks in the range 2θ = 10–90°, low angle first:
2θ = 27.4°, I 100; 2θ = 35.7°, I 13; 2θ = 35.8°, I 26; 2θ = 36.0°, I 13; 2θ = 39.1°, I 10; 2θ = 53.9°, I 28; 2θ = 54.2°, I 15; 2θ = 54.3°, I 14; 2θ = 56.5°, I 15; 2θ = 69.0°, I 10


Q: What is the formula in the fourth record?
A: Fe3OF9